(1)
Starting from the PBE geometry in the Materials Project, the XRD peak list of Ti6Ge5 was simulated for λ = 1.5418 Å (Cu Kα).
Peak positions follow from Bragg's law for the DFT cell and can differ from measured ones.

abc: 9.743 9.743 9.743
angles: 131.69 58.61 148.86
Fractional coordinates of all 22 atoms:
1 Ti 0.059 0.250 0.809
2 Ti 0.063 0.242 0.305
3 Ti 0.142 0.613 0.755
4 Ti 0.358 0.113 0.471
5 Ti 0.437 0.742 0.179
6 Ti 0.441 0.250 0.191
7 Ti 0.559 0.750 0.809
8 Ti 0.563 0.258 0.821
9 Ti 0.642 0.887 0.529
10 Ti 0.858 0.387 0.245
11 Ti 0.937 0.758 0.695
12 Ti 0.941 0.750 0.191
13 Ge 0.068 0.902 0.970
14 Ge 0.211 0.299 0.510
15 Ge 0.250 0.750 0.500
16 Ge 0.289 0.799 0.088
17 Ge 0.432 0.402 0.834
18 Ge 0.568 0.598 0.166
19 Ge 0.711 0.201 0.912
20 Ge 0.750 0.250 0.500
21 Ge 0.789 0.701 0.490
22 Ge 0.932 0.098 0.030

Top 8 peaks for 2θ = 10–90°, low angle first:
d/Å	I/Imax
2.615	40
2.406	55
2.377	51
2.320	100
2.283	91
2.276	87
2.187	47
1.188	28

---

(2)
Starting from the PBE geometry in the Materials Project, the XRD peak list of MgIO12 was simulated for λ = 1.5418 Å (Cu Kα).
Peak positions follow from Bragg's law for the DFT cell and can differ from measured ones.

abc: 7.008 10.023 8.911
angles: 90.00 122.03 90.00
Fractional coordinates of all 28 atoms:
1 Mg 0.000 0.072 0.000
2 Mg 0.000 0.928 0.500
3 I 0.024 0.202 0.391
4 I 0.024 0.798 0.891
5 O 0.054 0.364 0.976
6 O 0.054 0.636 0.476
7 O 0.069 0.170 0.210
8 O 0.069 0.830 0.710
9 O 0.169 0.125 0.856
10 O 0.169 0.875 0.356
11 O 0.221 0.354 0.470
12 O 0.221 0.646 0.970
13 O 0.234 0.083 0.557
14 O 0.234 0.917 0.057
15 O 0.387 0.152 0.945
16 O 0.387 0.848 0.445
17 O 0.505 0.072 0.917
18 O 0.505 0.928 0.417
19 O 0.763 0.229 0.833
20 O 0.763 0.771 0.333
21 O 0.800 0.078 0.336
22 O 0.800 0.922 0.836
23 O 0.830 0.352 0.272
24 O 0.830 0.648 0.772
25 O 0.846 0.352 0.865
26 O 0.846 0.648 0.365
27 O 0.985 0.297 0.564
28 O 0.985 0.703 0.064

Top 8 peaks for 2θ = 10–90°, low angle first:
d/Å	I/Imax
6.033	31
5.941	100
5.575	71
5.011	23
4.422	38
3.831	23
3.777	34
3.545	23

---

(3)
Starting from the PBE geometry in the Materials Project, the XRD peak list of PbSe was simulated for λ = 1.5418 Å (Cu Kα).
Peak positions follow from Bragg's law for the DFT cell and can differ from measured ones.

abc: 4.334 12.261 4.497
angles: 90.00 90.00 90.00
Fractional coordinates of all 8 atoms:
1 Pb 0.000 0.130 0.250
2 Pb 0.000 0.870 0.750
3 Pb 0.500 0.370 0.750
4 Pb 0.500 0.630 0.250
5 Se 0.000 0.363 0.250
6 Se 0.000 0.637 0.750
7 Se 0.500 0.137 0.750
8 Se 0.500 0.863 0.250

Top 8 peaks for 2θ = 10–90°, low angle first:
d/Å	I/Imax
3.626	27
3.065	46
3.024	100
2.480	40
2.249	20
1.928	36
1.813	21
1.770	19

---

(4)
Starting from the PBE geometry in the Materials Project, the XRD peak list of N was simulated for λ = 1.5418 Å (Cu Kα).
Peak positions follow from Bragg's law for the DFT cell and can differ from measured ones.

abc: 5.856 5.856 5.856
angles: 90.00 90.00 90.00
Fractional coordinates of all 8 atoms:
1 N 0.055 0.055 0.055
2 N 0.055 0.445 0.555
3 N 0.445 0.555 0.055
4 N 0.445 0.945 0.555
5 N 0.555 0.055 0.445
6 N 0.555 0.445 0.945
7 N 0.945 0.555 0.445
8 N 0.945 0.945 0.945

Top 8 peaks for 2θ = 10–90°, low angle first:
d/Å	I/Imax
3.381	100
2.928	41
2.619	4
2.391	5
2.070	13
1.766	8
1.624	4
1.565	6

---

(5)
Starting from the PBE geometry in the Materials Project, the XRD peak list of ZrVCo was simulated for λ = 1.5418 Å (Cu Kα).
Peak positions follow from Bragg's law for the DFT cell and can differ from measured ones.

abc: 8.059 5.108 5.108
angles: 60.03 90.00 90.00
Fractional coordinates of all 12 atoms:
1 Zr 0.178 0.000 0.000
2 Zr 0.303 0.669 0.669
3 Zr 0.697 0.669 0.669
4 Zr 0.822 0.000 0.000
5 V 0.238 0.332 0.332
6 V 0.500 0.173 0.677
7 V 0.500 0.677 0.173
8 V 0.762 0.332 0.332
9 Co 0.000 0.504 0.996
10 Co 0.000 0.508 0.508
11 Co 0.000 0.996 0.504
12 Co 0.500 0.170 0.170

Top 8 peaks for 2θ = 10–90°, low angle first:
d/Å	I/Imax
2.554	47
2.296	85
2.157	100
2.133	77
1.420	32
1.385	22
1.303	27
1.277	24

---

(6)
Starting from the PBE geometry in the Materials Project, the XRD peak list of Na3YCl6 was simulated for λ = 1.5418 Å (Cu Kα).
Peak positions follow from Bragg's law for the DFT cell and can differ from measured ones.

abc: 7.522 7.522 7.522
angles: 60.00 60.00 60.00
Fractional coordinates of all 10 atoms:
1 Na 0.000 0.000 0.000
2 Na 0.250 0.250 0.250
3 Na 0.750 0.750 0.750
4 Y 0.500 0.500 0.500
5 Cl 0.254 0.254 0.746
6 Cl 0.254 0.746 0.254
7 Cl 0.254 0.746 0.746
8 Cl 0.746 0.254 0.254
9 Cl 0.746 0.254 0.746
10 Cl 0.746 0.746 0.254

Top 8 peaks for 2θ = 10–90°, low angle first:
d/Å	I/Imax
6.142	39
5.319	84
3.761	28
3.071	33
2.659	100
2.379	37
1.880	65
1.189	25

---

(7)
Starting from the PBE geometry in the Materials Project, the XRD peak list of CePO4 was simulated for λ = 1.5418 Å (Cu Kα).
Peak positions follow from Bragg's law for the DFT cell and can differ from measured ones.

abc: 7.187 7.187 6.488
angles: 90.00 90.00 120.00
Fractional coordinates of all 18 atoms:
1 Ce 0.000 0.500 0.333
2 Ce 0.500 0.000 0.000
3 Ce 0.500 0.500 0.667
4 P 0.000 0.500 0.833
5 P 0.500 0.000 0.500
6 P 0.500 0.500 0.167
7 O 0.137 0.446 0.687
8 O 0.137 0.691 0.980
9 O 0.309 0.446 0.313
10 O 0.309 0.863 0.353
11 O 0.446 0.137 0.647
12 O 0.446 0.309 0.020
13 O 0.554 0.691 0.020
14 O 0.554 0.863 0.647
15 O 0.691 0.137 0.353
16 O 0.691 0.554 0.313
17 O 0.863 0.309 0.980
18 O 0.863 0.554 0.687

Top 8 peaks for 2θ = 10–90°, low angle first:
d/Å	I/Imax
6.224	100
4.492	64
3.112	97
2.877	76
2.408	26
2.212	37
1.905	48
1.748	25